Na3Hg2Pd3: simulated PXRD pattern (Cu Kα (λ = 1.5418 Å)), based on a structure optimized by DFT (GGA-PBE).

Top 8 peaks for 2θ = 15–90°, in order of rising 2θ:
d = 4.264 Å, 20.83 deg, I = 100.0, hkl 0 1 2
d = 2.708 Å, 33.08 deg, I = 24.1, hkl 1 1 0
d = 2.517 Å, 35.67 deg, I = 35.1, hkl 1 1 3
d = 2.482 Å, 36.20 deg, I = 46.8, hkl 1 0 7
d = 2.330 Å, 38.64 deg, I = 21.0, hkl 0 2 1
d = 2.132 Å, 42.40 deg, I = 35.0, hkl 0 2 4
d = 2.035 Å, 44.52 deg, I = 28.9, hkl 2 0 5
d = 1.516 Å, 61.13 deg, I = 20.3, hkl 2 1 7

Atomic structure:
Unit cell a=5.4161 b=5.4161 c=20.4704 alpha=90.00 beta=90.00 gamma=120.00
Space group R-3m (No. 166, hexagonal axes)
One atom of each set of equivalent atoms:
Na1 0.0000 0.0000 0.0000 (multiplicity 3)
Na2 0.0000 0.0000 0.4282 (multiplicity 6)
Hg1 0.0000 0.0000 0.2813 (multiplicity 6)
Pd1 0.0000 0.5000 0.5000 (multiplicity 9)



Na2Hg2S3: simulated PXRD pattern (Cu Kα (λ = 1.5418 Å)), based on a structure optimized by DFT (GGA-PBE).

Top 8 peaks for 2θ = 15–90°, in order of rising 2θ:
d = 4.188 Å, 21.22 deg, I = 51.9, hkl 2 0 0
d = 3.419 Å, 26.06 deg, I = 25.0, hkl 2 1 1
d = 2.961 Å, 30.18 deg, I = 22.8, hkl 2 2 0
d = 2.648 Å, 33.85 deg, I = 100.0, hkl 3 0 1
d = 2.238 Å, 40.29 deg, I = 95.9, hkl 3 1 2
d = 1.710 Å, 53.61 deg, I = 18.0, hkl 4 2 2
d = 1.642 Å, 55.99 deg, I = 48.4, hkl 4 3 1
d = 1.529 Å, 60.55 deg, I = 20.4, hkl 5 2 1

Atomic structure:
Unit cell a=8.3751 b=8.3751 c=8.3751 alpha=90.00 beta=90.00 gamma=90.00
Space group I2_13 (No. 199)
One atom of each set of equivalent atoms:
Na1 0.0729 0.0729 0.0729 (multiplicity 8)
Hg1 0.1852 0.3148 0.6852 (multiplicity 8)
S1 0.0000 0.2500 0.3805 (multiplicity 12)



Na2HgS2: simulated PXRD pattern (Cu Kα (λ = 1.5418 Å)), based on a structure optimized by DFT (GGA-PBE).

Top 8 peaks for 2θ = 15–90°, in order of rising 2θ:
d = 5.807 Å, 15.26 deg, I = 81.7, hkl 0 2 1
d = 4.557 Å, 19.48 deg, I = 100.0, hkl 0 4 0
d = 3.666 Å, 24.28 deg, I = 50.4, hkl 2 0 0
d = 3.100 Å, 28.80 deg, I = 58.6, hkl 2 2 1
d = 2.858 Å, 31.30 deg, I = 28.1, hkl 2 4 0
d = 2.699 Å, 33.19 deg, I = 47.4, hkl 1 4 2
d = 2.633 Å, 34.05 deg, I = 26.5, hkl 1 6 1
d = 2.297 Å, 39.22 deg, I = 44.2, hkl 1 2 3

Atomic structure:
Unit cell a=7.3321 b=18.2572 c=7.5253 alpha=90.00 beta=90.00 gamma=90.00
Space group Pbca (No. 61)
One atom of each set of equivalent atoms:
Na1 0.0009 0.0555 0.2283 (multiplicity 8)
Na2 0.1695 0.6959 0.0442 (multiplicity 8)
Hg1 0.2282 0.1108 0.6516 (multiplicity 8)
S1 0.2009 0.1786 0.3872 (multiplicity 8)
S2 0.2435 0.5488 0.9245 (multiplicity 8)